Starting from a cell relaxed with GGA-PBE, the powder XRD pattern of HfCrRe was computed for λ = 1.5418 Å (Cu Kα).
Neutral-atom scattering factors, no anomalous dispersion.

Peak list (10 most intense, 5° ≤ 2θ ≤ 70°, by angle)
d = 3.622 Å, I = 16.4, (0 0 2); d = 2.572 Å, I = 49.2, (1 1 2); d = 2.544 Å, I = 36.0, (2 0 0); d = 2.219 Å, I = 100.0, (1 2 1); d = 2.194 Å, I = 16.3, (0 1 3); d = 2.182 Å, I = 78.0, (1 0 3); d = 2.124 Å, I = 25.4, (0 2 2); d = 2.082 Å, I = 24.6, (2 0 2); d = 1.490 Å, I = 14.6, (0 2 4); d = 1.397 Å, I = 26.7, (3 2 1)

Structure:
```
data_HfCrRe
_chemical_formula_sum 'Hf4 Cr4 Re4'
_symmetry_space_group_name_H-M 'I m m a'
_symmetry_Int_Tables_number 74
_symmetry_space_group_name_Hall '-I 2b 2'
_cell_length_a 5.088
_cell_length_b 5.246
_cell_length_c 7.245
_cell_angle_alpha 90.00
_cell_angle_beta 90.00
_cell_angle_gamma 90.00
loop_
_atom_site_label
_atom_site_type_symbol
_atom_site_fract_x
_atom_site_fract_y
_atom_site_fract_z
Hf1 Hf 0.000 0.250 0.124
Cr1 Cr 0.250 0.250 0.750
Re1 Re 0.000 0.000 0.500
```